(1)
For MnCr3Cd3O8, a structure optimized by DFT (GGA+U) gives the simulated powder diffractogram in this record (Cu Ka).
Neutral-atom scattering factors, no anomalous dispersion.

Atomic structure:
Unit cell a=6.002 b=6.002 c=7.114 alpha=113.89 beta=113.89 gamma=59.93
Fractional positions:
Mn1 0.000 0.000 0.000
Cr1 0.000 0.500 0.000
Cr2 0.500 0.000 0.000
Cr3 0.500 0.500 0.000
Cd1 0.000 0.000 0.500
Cd2 0.000 0.500 0.500
Cd3 0.500 0.000 0.500
O1 0.213 0.213 0.164
O2 0.213 0.731 0.164
O3 0.269 0.787 0.836
O4 0.281 0.281 0.837
O5 0.719 0.719 0.163
O6 0.731 0.213 0.164
O7 0.787 0.269 0.836
O8 0.787 0.787 0.836

Peak list (10 most intense, 10 to 90 degrees two-theta, in order of rising 2θ)
| Position (°2θ) | d_spacing | intensity |
| --- | --- | --- |
| 17.7 | 5.022 | 27.4 |
| 19.6 | 4.529 | 17.6 |
| 28.4 | 3.145 | 72.4 |
| 35.8 | 2.511 | 60.5 |
| 36.0 | 2.492 | 29.1 |
| 39.2 | 2.298 | 51.2 |
| 39.8 | 2.264 | 100.0 |
| 52.1 | 1.756 | 32.8 |
| 61.0 | 1.518 | 20.4 |
| 61.9 | 1.500 | 38.5 |



(2)
For NaYSnWO6, a structure optimized by DFT (GGA+U) gives the simulated powder diffractogram in this record (Cu Ka).
Neutral-atom scattering factors, no anomalous dispersion.

Atomic structure:
Unit cell a=5.899 b=5.899 c=5.899 alpha=60.00 beta=60.00 gamma=60.00
Fractional positions:
Na1 0.000 0.000 0.000
Y1 0.750 0.750 0.750
Sn1 0.500 0.500 0.500
W1 0.250 0.250 0.250
O1 0.017 0.017 0.483
O2 0.017 0.483 0.017
O3 0.017 0.483 0.483
O4 0.483 0.017 0.017
O5 0.483 0.017 0.483
O6 0.483 0.483 0.017

Peak list (10 most intense, 10 to 90 degrees two-theta, in order of rising 2θ)
| Position (°2θ) | d_spacing | intensity |
| --- | --- | --- |
| 18.4 | 4.817 | 28.6 |
| 21.3 | 4.171 | 21.9 |
| 30.3 | 2.950 | 100.0 |
| 35.7 | 2.515 | 14.9 |
| 43.4 | 2.086 | 32.8 |
| 48.8 | 1.865 | 8.3 |
| 53.8 | 1.703 | 40.8 |
| 63.0 | 1.475 | 20.2 |
| 71.5 | 1.319 | 18.4 |
| 87.5 | 1.115 | 22.4 |